Entry 1:
Computed powder diffraction line list of Cs11Rb3 for Cu Kα, from a DFT-relaxed cell (GGA-PBE, Alexandria).

Crystal structure
```
data_Cs11Rb3
_chemical_formula_sum 'Cs22 Rb6'
_cell_length_a 8.5354
_cell_length_b 15.5767
_cell_length_c 23.4113
_cell_angle_alpha 90.00
_cell_angle_beta 90.00
_cell_angle_gamma 90.00
_space_group_name_H-M_alt 'I m m m'
_space_group_IT_number 71
_space_group_name_Hall '-I 2 2'
loop_
_atom_site_label
_atom_site_type_symbol
_atom_site_fract_x
_atom_site_fract_y
_atom_site_fract_z
Cs1 Cs 0.0000 0.0000 0.0000
Cs2 Cs 0.0000 0.1563 0.2854
Cs3 Cs 0.0000 0.3334 0.1026
Cs4 Cs 0.0000 0.5000 0.3245
Rb1 Rb 0.0000 0.0000 0.5000
Rb2 Rb 0.0000 0.3083 0.5000
```

Most intense lines, 2θ from 10° to 80°, in order of falling intensity:
2θ (°)	intensity
21.42	100
21.65	65
20.81	60
19.23	56
36.82	41
20.55	33

---

Entry 2:
Computed powder diffraction line list of MgPdAu for Cu Kα, from a DFT-relaxed cell (GGA-PBE, Alexandria).

Crystal structure
```
data_MgPdAu
_chemical_formula_sum 'Mg4 Pd4 Au4'
_cell_length_a 9.0758
_cell_length_b 4.0654
_cell_length_c 5.7079
_cell_angle_alpha 90.00
_cell_angle_beta 107.32
_cell_angle_gamma 90.00
_space_group_name_H-M_alt 'C 1 m 1'
_space_group_IT_number 8
loop_
_space_group_symop_operation_xyz
'x,y,z'
'x,-y,z'
'x+1/2,y+1/2,z'
'x+1/2,-y+1/2,z'
loop_
_atom_site_label
_atom_site_type_symbol
_atom_site_fract_x
_atom_site_fract_y
_atom_site_fract_z
Mg1 Mg 0.0000 0.0000 0.0000
Mg2 Mg 0.1957 0.5000 0.3940
Pd1 Pd 0.0204 0.0000 0.5146
Pd2 Pd 0.3481 0.0000 0.6970
Au1 Au 0.1735 0.5000 0.8705
Au2 Au 0.3503 0.0000 0.2010
```

Most intense lines, 2θ from 10° to 80°, in order of falling intensity:
2θ (°)	intensity
38.23	100
38.55	97
22.09	53
30.99	48
44.58	33
44.23	33

---

Which formula does entry 1 have?
Cs11Rb3